Record 1
Diffraction record for Pm2Y3Tl4. The XRD peak list is theoretical, not measured: it uses DFT lattice parameters and positions (GGA-PBE) and λ = 1.5418 Å (Cu Kα).
Neutral-atom scattering factors, no anomalous dispersion.

Largest 10 diffraction maxima, most intense first, 2θ from 15° to 90°:
31.4 deg, 2.847 Å, rel. 1000
31.0 deg, 2.884 Å, rel. 207
28.6 deg, 3.116 Å, rel. 181
33.0 deg, 2.714 Å, rel. 132
47.8 deg, 1.902 Å, rel. 128
29.1 deg, 3.069 Å, rel. 120
45.1 deg, 2.012 Å, rel. 112
22.1 deg, 4.027 Å, rel. 112
50.5 deg, 1.809 Å, rel. 104
34.2 deg, 2.624 Å, rel. 100

Atomic structure:
Lattice parameters (Å, degrees): 7.234 16.422 9.242 90.00 90.00 90.00
Space group Cmce (No. 64)
Symmetry-distinct sites (fractional):
1 Pm 0.000 0.110 0.076
2 Y 0.000 0.000 0.500
3 Y 0.250 0.212 0.750
4 Tl 0.000 0.188 0.459
5 Tl 0.250 0.026 0.750

---

Record 2
Diffraction record for Pm5Y2Tl. The XRD peak list is theoretical, not measured: it uses DFT lattice parameters and positions (GGA-PBE) and λ = 1.5418 Å (Cu Kα).
Neutral-atom scattering factors, no anomalous dispersion.

Largest 10 diffraction maxima, most intense first, 2θ from 15° to 90°:
31.6 deg, 2.829 Å, rel. 1000
30.8 deg, 2.904 Å, rel. 948
32.9 deg, 2.723 Å, rel. 607
31.4 deg, 2.849 Å, rel. 503
46.1 deg, 1.969 Å, rel. 432
58.4 deg, 1.579 Å, rel. 299
62.5 deg, 1.487 Å, rel. 284
56.0 deg, 1.641 Å, rel. 162
55.5 deg, 1.655 Å, rel. 148
62.3 deg, 1.489 Å, rel. 147

Atomic structure:
Lattice parameters (Å, degrees): 3.494 11.395 13.039 90.00 90.00 90.00
Space group Immm (No. 71)
Symmetry-distinct sites (fractional):
1 Pm 0.000 0.000 0.000
2 Pm 0.000 0.267 0.369
3 Y 0.000 0.000 0.271
4 Tl 0.000 0.500 0.000

---

Record 3
Diffraction record for Pm5Y5Tl. The XRD peak list is theoretical, not measured: it uses DFT lattice parameters and positions (GGA-PBE) and λ = 1.5418 Å (Cu Kα).
Neutral-atom scattering factors, no anomalous dispersion.

Largest 10 diffraction maxima, most intense first, 2θ from 15° to 90°:
29.0 deg, 3.077 Å, rel. 1000
28.9 deg, 3.093 Å, rel. 974
37.2 deg, 2.419 Å, rel. 645
51.2 deg, 1.784 Å, rel. 568
30.0 deg, 2.983 Å, rel. 512
18.3 deg, 4.839 Å, rel. 450
31.7 deg, 2.819 Å, rel. 431
59.8 deg, 1.546 Å, rel. 366
33.0 deg, 2.712 Å, rel. 364
37.7 deg, 2.388 Å, rel. 352

Atomic structure:
Lattice parameters (Å, degrees): 6.1857 6.1857 11.2777 90.00 90.00 120.00
Space group P-6m2 (No. 187)
Symmetry-distinct sites (fractional):
1 Pm 0.0000 0.0000 0.2335
2 Pm 0.3415 0.1708 0.0000
3 Y 0.0000 0.0000 0.5000
4 Y 0.3333 0.6667 0.2053
5 Y 0.6667 0.3333 0.3195
6 Tl 0.3333 0.6667 0.5000

---

Record 4
Diffraction record for PmY5Tl6. The XRD peak list is theoretical, not measured: it uses DFT lattice parameters and positions (GGA-PBE) and λ = 1.5418 Å (Cu Kα).
Neutral-atom scattering factors, no anomalous dispersion.

Largest 10 diffraction maxima, most intense first, 2θ from 15° to 90°:
33.2 deg, 2.699 Å, rel. 1000
33.3 deg, 2.691 Å, rel. 496
59.3 deg, 1.559 Å, rel. 285
59.4 deg, 1.555 Å, rel. 236
47.6 deg, 1.910 Å, rel. 183
23.3 deg, 3.819 Å, rel. 128
47.9 deg, 1.900 Å, rel. 90
69.7 deg, 1.348 Å, rel. 88
79.4 deg, 1.207 Å, rel. 82
79.3 deg, 1.208 Å, rel. 82

Atomic structure:
Lattice parameters (Å, degrees): 9.308 16.225 5.394 90.00 125.26 90.00
Space group C2/m (No. 12)
Symmetry-distinct sites (fractional):
1 Pm 0.000 0.000 0.000
2 Y 0.000 0.165 0.500
3 Y 0.000 0.333 0.000
4 Y 0.000 0.500 0.500
5 Tl 0.244 0.500 0.244
6 Tl 0.247 0.331 0.747

---

Record 5
Diffraction record for Pm9Y4Tl11. The XRD peak list is theoretical, not measured: it uses DFT lattice parameters and positions (GGA-PBE) and λ = 1.5418 Å (Cu Kα).
Neutral-atom scattering factors, no anomalous dispersion.

Largest 10 diffraction maxima, most intense first, 2θ from 15° to 90°:
31.9 deg, 2.806 Å, rel. 1000
35.2 deg, 2.553 Å, rel. 346
61.1 deg, 1.517 Å, rel. 165
54.6 deg, 1.680 Å, rel. 145
40.4 deg, 2.231 Å, rel. 131
32.7 deg, 2.740 Å, rel. 107
50.7 deg, 1.802 Å, rel. 88
32.5 deg, 2.756 Å, rel. 83
61.0 deg, 1.519 Å, rel. 81
57.1 deg, 1.613 Å, rel. 75

Atomic structure:
Lattice parameters (Å, degrees): 17.848 21.694 3.604 90.00 90.00 90.00
Space group Cmmm (No. 65)
Symmetry-distinct sites (fractional):
1 Pm 0.000 0.000 0.000
2 Pm 0.117 0.241 0.000
3 Pm 0.120 0.413 0.000
4 Y 0.152 0.084 0.000
5 Tl 0.000 0.135 0.500
6 Tl 0.000 0.329 0.500
7 Tl 0.000 0.500 0.500
8 Tl 0.237 0.500 0.500
9 Tl 0.243 0.325 0.500

---

Record 6
Diffraction record for Pm2Y6Tl. The XRD peak list is theoretical, not measured: it uses DFT lattice parameters and positions (GGA-PBE) and λ = 1.5418 Å (Cu Kα).
Neutral-atom scattering factors, no anomalous dispersion.

Largest 10 diffraction maxima, most intense first, 2θ from 15° to 90°:
30.9 deg, 2.896 Å, rel. 1000
35.3 deg, 2.545 Å, rel. 180
35.7 deg, 2.517 Å, rel. 167
36.4 deg, 2.465 Å, rel. 160
60.6 deg, 1.528 Å, rel. 142
61.1 deg, 1.516 Å, rel. 140
62.2 deg, 1.494 Å, rel. 132
51.0 deg, 1.789 Å, rel. 119
64.3 deg, 1.448 Å, rel. 117
51.6 deg, 1.771 Å, rel. 117

Atomic structure:
Lattice parameters (Å, degrees): 4.930 15.101 15.269 90.00 90.00 90.00
Space group Fmmm (No. 69)
Symmetry-distinct sites (fractional):
1 Pm 0.000 0.000 0.164
2 Y 0.000 0.159 0.000
3 Y 0.000 0.168 0.334
4 Tl 0.000 0.000 0.500

---

Record 7
Diffraction record for PmYTl3. The XRD peak list is theoretical, not measured: it uses DFT lattice parameters and positions (GGA-PBE) and λ = 1.5418 Å (Cu Kα).
Neutral-atom scattering factors, no anomalous dispersion.

Largest 10 diffraction maxima, most intense first, 2θ from 15° to 90°:
30.2 deg, 2.955 Å, rel. 1000
36.3 deg, 2.472 Å, rel. 905
39.9 deg, 2.257 Å, rel. 489
66.6 deg, 1.404 Å, rel. 394
53.7 deg, 1.706 Å, rel. 368
34.4 deg, 2.606 Å, rel. 324
20.5 deg, 4.337 Å, rel. 313
70.2 deg, 1.341 Å, rel. 270
69.0 deg, 1.361 Å, rel. 175
57.8 deg, 1.596 Å, rel. 168

Atomic structure:
Lattice parameters (Å, degrees): 4.514 4.514 15.636 90.00 90.00 90.00
Space group I4mm (No. 107)
Symmetry-distinct sites (fractional):
1 Pm 0.000 0.000 0.000
2 Y 0.000 0.000 0.324
3 Tl 0.000 0.000 0.805
4 Tl 0.000 0.500 0.149

---

Record 8
Diffraction record for Pm4TlZn. The XRD peak list is theoretical, not measured: it uses DFT lattice parameters and positions (GGA-PBE) and λ = 1.5418 Å (Cu Kα).
Neutral-atom scattering factors, no anomalous dispersion.

Largest 10 diffraction maxima, most intense first, 2θ from 15° to 90°:
31.8 deg, 2.817 Å, rel. 1000
34.2 deg, 2.620 Å, rel. 452
59.7 deg, 1.548 Å, rel. 330
49.2 deg, 1.853 Å, rel. 163
55.0 deg, 1.671 Å, rel. 159
27.7 deg, 3.220 Å, rel. 97
66.4 deg, 1.409 Å, rel. 90
41.7 deg, 2.168 Å, rel. 89
82.3 deg, 1.172 Å, rel. 73
80.9 deg, 1.188 Å, rel. 69

Atomic structure:
Lattice parameters (Å, degrees): 3.706 3.706 13.010 90.00 90.00 90.00
Space group P4/mmm (No. 123)
Symmetry-distinct sites (fractional):
1 Pm 0.000 0.000 0.139
2 Pm 0.500 0.500 0.336
3 Tl 0.000 0.000 0.500
4 Zn 0.500 0.500 0.000